# 1
Theoretical X-ray powder pattern
Compound: Cs2Tb2Al2O7
Radiation: Cu Ka
Structure: the GGA-PBE geometry in OQMD
Lines closer than 0.1° are merged.

Crystal structure
```
data_Cs2Tb2Al2O7
_chemical_formula_sum 'Cs4 Tb4 Al4 O14'
_cell_length_a 5.854
_cell_length_b 9.767
_cell_length_c 9.226
_cell_angle_alpha 90.00
_cell_angle_beta 90.00
_cell_angle_gamma 90.00
_symmetry_space_group_name_H-M 'I m m 2'
_symmetry_Int_Tables_number 44
loop_
_symmetry_equiv_pos_as_xyz
'x,y,z'
'-x,-y,z'
'-x,y,z'
'x,-y,z'
'x+1/2,y+1/2,z+1/2'
'-x+1/2,-y+1/2,z+1/2'
'-x+1/2,y+1/2,z+1/2'
'x+1/2,-y+1/2,z+1/2'
loop_
_atom_site_label
_atom_site_type_symbol
_atom_site_fract_x
_atom_site_fract_y
_atom_site_fract_z
Cs1 Cs 0.000 0.000 0.000
Cs2 Cs 0.000 0.500 0.190
Tb1 Tb 0.000 0.198 0.434
Al1 Al 0.000 0.339 0.755
O1 O 0.000 0.361 0.567
O2 O 0.000 0.500 0.852
O3 O 0.240 0.239 0.799
```

Main lines, sorted by position (10° ≤ 2θ ≤ 90°):
(1 0 1), 17.9 deg, I 26.7; (0 0 2), 19.2 deg, I 15.2; (1 2 1), 25.6 deg, I 100.0; (1 1 2), 26.2 deg, I 65.4; (0 2 2), 26.6 deg, I 23.1; (0 3 1), 29.1 deg, I 30.2; (2 0 0), 30.5 deg, I 47.9; (1 2 3), 37.8 deg, I 22.0; (2 3 1), 42.7 deg, I 24.3; (1 3 4), 51.0 deg, I 18.0; (3 2 1), 51.4 deg, I 25.2; (1 5 2), 53.3 deg, I 22.7



# 2
Theoretical X-ray powder pattern
Compound: K2ZrO3
Radiation: Cu Ka
Structure: the GGA-PBE geometry in OQMD
Lines closer than 0.1° are merged.

Crystal structure
```
data_K2ZrO3
_chemical_formula_sum 'K4 Zr2 O6'
_cell_length_a 5.8610
_cell_length_b 5.8610
_cell_length_c 6.4210
_cell_angle_alpha 90.00
_cell_angle_beta 90.00
_cell_angle_gamma 120.00
_symmetry_space_group_name_H-M 'P -3'
_symmetry_Int_Tables_number 147
loop_
_symmetry_equiv_pos_as_xyz
'x,y,z'
'-x,-y,-z'
'-y,x-y,z'
'y,-x+y,-z'
'-x+y,-x,z'
'x-y,x,-z'
loop_
_atom_site_label
_atom_site_type_symbol
_atom_site_fract_x
_atom_site_fract_y
_atom_site_fract_z
K1 K 0.0000 0.0000 0.0000
K2 K 0.0000 0.0000 0.5000
K3 K 0.3333 0.6667 0.0006
Zr1 Zr 0.3333 0.6667 0.5004
O1 O 0.0002 0.4018 0.6888
```

Main lines, sorted by position (10° ≤ 2θ ≤ 90°):
(0 0 1), 13.8 deg, I 39.5; (1 0 0), 17.5 deg, I 18.6; (1 0 1), 22.3 deg, I 13.5; (0 0 2), 27.8 deg, I 27.6; (1 1 0), 30.5 deg, I 79.3; (2 -1 1), 33.6 deg, I 15.8; (2 -1 2), 41.7 deg, I 100.0; (3 0 0), 54.2 deg, I 23.4; (3 0 2), 62.0 deg, I 19.7; (2 2 0), 63.5 deg, I 10.8; (1 1 4), 66.4 deg, I 20.8; (2 2 2), 70.7 deg, I 15.9



# 3
Theoretical X-ray powder pattern
Compound: BaCdInPtPb
Radiation: Cu Ka
Structure: the GGA-PBE geometry in OQMD
Lines closer than 0.1° are merged.

Crystal structure
```
data_BaCdInPtPb
_chemical_formula_sum 'Ba2 Cd2 In2 Pt2 Pb2'
_cell_length_a 4.938
_cell_length_b 4.938
_cell_length_c 11.575
_cell_angle_alpha 90.00
_cell_angle_beta 90.00
_cell_angle_gamma 90.00
_symmetry_space_group_name_H-M 'P 4/n m m'
_symmetry_Int_Tables_number 129
loop_
_symmetry_equiv_pos_as_xyz
'x,y,z'
'-x,-y,-z'
'-y+1/2,x,z'
'y+1/2,-x,-z'
'-x+1/2,-y+1/2,z'
'x+1/2,y+1/2,-z'
'y,-x+1/2,z'
'-y,x+1/2,-z'
'x+1/2,-y,-z'
'-x+1/2,y,z'
'-y,-x,-z'
'y,x,z'
'-x,y+1/2,-z'
'x,-y+1/2,z'
'y+1/2,x+1/2,-z'
'-y+1/2,-x+1/2,z'
loop_
_atom_site_label
_atom_site_type_symbol
_atom_site_fract_x
_atom_site_fract_y
_atom_site_fract_z
Ba1 Ba 0.250 0.250 0.243
Cd1 Cd 0.250 0.750 0.500
In1 In 0.250 0.250 0.646
Pt1 Pt 0.250 0.250 0.878
Pb1 Pb 0.250 0.750 0.000
```

Main lines, sorted by position (10° ≤ 2θ ≤ 90°):
(0 0 2), 15.3 deg, I 13.8; (1 0 3), 29.4 deg, I 46.2; (1 1 2), 29.9 deg, I 100.0; (2 0 0), 36.4 deg, I 75.7; (1 1 4), 40.5 deg, I 45.5; (1 0 5), 43.2 deg, I 22.0; (2 1 3), 47.4 deg, I 24.6; (2 2 0), 52.4 deg, I 26.5; (2 1 5), 57.7 deg, I 18.5; (3 1 2), 61.5 deg, I 25.6; (3 1 4), 68.3 deg, I 19.6; (2 0 8), 76.3 deg, I 14.6



# 4
Theoretical X-ray powder pattern
Compound: SmGe2PtAu
Radiation: Cu Ka
Structure: the GGA-PBE geometry in OQMD
Lines closer than 0.1° are merged.

Crystal structure
```
data_SmGe2PtAu
_chemical_formula_sum 'Sm2 Ge4 Pt2 Au2'
_cell_length_a 4.386
_cell_length_b 4.386
_cell_length_c 10.339
_cell_angle_alpha 90.00
_cell_angle_beta 90.00
_cell_angle_gamma 90.00
_symmetry_space_group_name_H-M 'P 4/n m m'
_symmetry_Int_Tables_number 129
loop_
_symmetry_equiv_pos_as_xyz
'x,y,z'
'-x,-y,-z'
'-y+1/2,x,z'
'y+1/2,-x,-z'
'-x+1/2,-y+1/2,z'
'x+1/2,y+1/2,-z'
'y,-x+1/2,z'
'-y,x+1/2,-z'
'x+1/2,-y,-z'
'-x+1/2,y,z'
'-y,-x,-z'
'y,x,z'
'-x,y+1/2,-z'
'x,-y+1/2,z'
'y+1/2,x+1/2,-z'
'-y+1/2,-x+1/2,z'
loop_
_atom_site_label
_atom_site_type_symbol
_atom_site_fract_x
_atom_site_fract_y
_atom_site_fract_z
Sm1 Sm 0.250 0.250 0.247
Ge1 Ge 0.250 0.250 0.645
Ge2 Ge 0.250 0.750 0.000
Pt1 Pt 0.250 0.250 0.881
Au1 Au 0.250 0.750 0.500
```

Main lines, sorted by position (10° ≤ 2θ ≤ 90°):
(1 1 1), 30.1 deg, I 35.2; (1 0 3), 33.1 deg, I 62.0; (1 1 2), 33.7 deg, I 100.0; (2 0 0), 41.2 deg, I 75.4; (1 1 4), 45.7 deg, I 34.1; (1 0 5), 48.7 deg, I 21.4; (2 1 3), 53.8 deg, I 31.5; (2 2 0), 59.6 deg, I 25.4; (1 1 6), 61.6 deg, I 23.0; (2 1 5), 65.6 deg, I 17.5; (3 1 2), 70.3 deg, I 23.9; (2 0 8), 87.6 deg, I 15.8



# 5
Theoretical X-ray powder pattern
Compound: HfHgPt
Radiation: Cu Ka
Structure: the GGA-PBE geometry in OQMD
Lines closer than 0.1° are merged.

Crystal structure
```
data_HfHgPt
_chemical_formula_sum 'Hf2 Hg2 Pt2'
_cell_length_a 3.513
_cell_length_b 3.513
_cell_length_c 9.075
_cell_angle_alpha 90.00
_cell_angle_beta 90.00
_cell_angle_gamma 90.00
_symmetry_space_group_name_H-M 'P 4/m m m'
_symmetry_Int_Tables_number 123
_symmetry_space_group_name_Hall '-P 4 2'
loop_
_atom_site_label
_atom_site_type_symbol
_atom_site_fract_x
_atom_site_fract_y
_atom_site_fract_z
Hf1 Hf 0.000 0.000 0.000
Hf2 Hf 0.500 0.500 0.500
Hg1 Hg 0.000 0.000 0.323
Pt1 Pt 0.500 0.500 0.158
```

Main lines, sorted by position (10° ≤ 2θ ≤ 90°):
(1 0 2), 32.2 deg, I 1.1; (1 1 0), 36.2 deg, I 64.1; (1 0 3), 39.3 deg, I 100.0; (1 0 4), 47.7 deg, I 1.1; (2 0 0), 52.1 deg, I 23.0; (0 0 6), 61.3 deg, I 6.5; (2 1 3), 67.1 deg, I 42.2; (1 1 6), 73.3 deg, I 16.0; (2 2 0), 76.7 deg, I 7.5; (2 0 6), 84.5 deg, I 10.8; (3 1 0), 87.9 deg, I 11.0; (3 0 3), 89.8 deg, I 10.4



# 6
Theoretical X-ray powder pattern
Compound: Th3Mg3Zn8
Radiation: Cu Ka
Structure: the GGA-PBE geometry in OQMD
Lines closer than 0.1° are merged.

Crystal structure
```
data_Th3Mg3Zn8
_chemical_formula_sum 'Th6 Mg6 Zn16'
_cell_length_a 4.518
_cell_length_b 9.163
_cell_length_c 13.705
_cell_angle_alpha 90.00
_cell_angle_beta 90.00
_cell_angle_gamma 90.00
_symmetry_space_group_name_H-M 'I m m m'
_symmetry_Int_Tables_number 71
_symmetry_space_group_name_Hall '-I 2 2'
loop_
_atom_site_label
_atom_site_type_symbol
_atom_site_fract_x
_atom_site_fract_y
_atom_site_fract_z
Th1 Th 0.000 0.000 0.000
Th2 Th 0.000 0.000 0.291
Mg1 Mg 0.000 0.201 0.500
Mg2 Mg 0.000 0.500 0.000
Zn1 Zn 0.000 0.274 0.147
Zn2 Zn 0.000 0.364 0.339
```

Main lines, sorted by position (10° ≤ 2θ ≤ 90°):
(0 0 2), 12.9 deg, I 30.1; (0 1 3), 21.7 deg, I 26.0; (1 1 0), 21.9 deg, I 39.1; (1 0 3), 27.8 deg, I 33.9; (0 2 4), 32.6 deg, I 39.7; (1 2 3), 34.1 deg, I 100.0; (1 1 4), 34.3 deg, I 51.6; (0 3 3), 35.4 deg, I 29.8; (1 3 0), 35.5 deg, I 61.9; (2 0 0), 39.9 deg, I 41.5; (2 2 4), 52.5 deg, I 20.9; (1 4 7), 66.1 deg, I 25.4



# 7
Theoretical X-ray powder pattern
Compound: PmMg2
Radiation: Cu Ka
Structure: the GGA-PBE geometry in OQMD
Lines closer than 0.1° are merged.

Crystal structure
```
data_PmMg2
_chemical_formula_sum 'Pm8 Mg16'
_cell_length_a 8.548
_cell_length_b 5.246
_cell_length_c 14.675
_cell_angle_alpha 90.00
_cell_angle_beta 99.65
_cell_angle_gamma 90.00
_symmetry_space_group_name_H-M 'P 1 21/m 1'
_symmetry_Int_Tables_number 11
loop_
_symmetry_equiv_pos_as_xyz
'x,y,z'
'-x,-y,-z'
'-x,y+1/2,-z'
'x,-y+1/2,z'
loop_
_atom_site_label
_atom_site_type_symbol
_atom_site_fract_x
_atom_site_fract_y
_atom_site_fract_z
Pm1 Pm 0.142 0.250 0.287
Pm2 Pm 0.146 0.250 0.744
Pm3 Pm 0.189 0.750 0.896
Pm4 Pm 0.302 0.750 0.642
Mg1 Mg 0.077 0.250 0.511
Mg2 Mg 0.144 0.250 0.024
Mg3 Mg 0.145 0.750 0.135
Mg4 Mg 0.229 0.750 0.415
Mg5 Mg 0.414 0.250 0.506
Mg6 Mg 0.449 0.250 0.161
Mg7 Mg 0.455 0.750 0.277
Mg8 Mg 0.465 0.250 0.936
```

Main lines, sorted by position (10° ≤ 2θ ≤ 90°):
(1 0 0), 10.5 deg, I 39.6; (0 0 2), 12.2 deg, I 51.6; (1 0 1), 13.0 deg, I 41.9; (1 1 -2), 22.5 deg, I 41.9; (2 1 -2), 28.3 deg, I 39.2; (2 1 1), 28.6 deg, I 38.3; (1 1 -4), 30.4 deg, I 39.8; (2 1 -3), 30.9 deg, I 71.7; (1 1 4), 33.3 deg, I 100.0; (0 2 0), 34.2 deg, I 72.9; (2 1 -4), 34.4 deg, I 59.7; (3 1 0), 36.3 deg, I 27.7



# 8
Theoretical X-ray powder pattern
Compound: Ta3Co4B7
Radiation: Cu Ka
Structure: the GGA-PBE geometry in OQMD
Lines closer than 0.1° are merged.

Crystal structure
```
data_Ta3Co4B7
_chemical_formula_sum 'Ta12 Co16 B28'
_cell_length_a 3.195
_cell_length_b 18.341
_cell_length_c 8.858
_cell_angle_alpha 90.00
_cell_angle_beta 90.00
_cell_angle_gamma 90.00
_symmetry_space_group_name_H-M 'C m c m'
_symmetry_Int_Tables_number 63
_symmetry_space_group_name_Hall '-C 2c 2'
loop_
_atom_site_label
_atom_site_type_symbol
_atom_site_fract_x
_atom_site_fract_y
_atom_site_fract_z
Ta1 Ta 0.000 0.081 0.055
Ta2 Ta 0.000 0.198 0.750
Co1 Co 0.000 0.042 0.750
Co2 Co 0.000 0.302 0.007
Co3 Co 0.000 0.344 0.750
B1 B 0.000 0.211 0.145
B2 B 0.000 0.390 0.148
B3 B 0.000 0.455 0.750
B4 B 0.000 0.485 0.093
```

Main lines, sorted by position (10° ≤ 2θ ≤ 90°):
(0 4 1), 21.8 deg, I 27.8; (0 2 2), 22.3 deg, I 22.2; (1 1 0), 28.4 deg, I 51.3; (0 2 3), 31.8 deg, I 39.4; (0 6 2), 35.7 deg, I 32.8; (0 8 0), 39.3 deg, I 25.6; (1 1 3), 42.0 deg, I 66.1; (1 5 2), 42.7 deg, I 100.0; (1 7 0), 44.7 deg, I 30.9; (2 0 0), 57.7 deg, I 23.5; (1 9 3), 62.5 deg, I 22.6; (1 13 2), 76.9 deg, I 23.0